MgCo2GeO6: calculated powder XRD pattern (CuKα), based on a DFT-relaxed cell (PBE+U, Alexandria).
Kinematic intensities with the Lorentz-polarization factor, no thermal factor.

Structural model:
Cell: 5.283 5.283 5.283 Å, 55.58 55.58 55.58°
Positions (direct):
Mg 0.000 0.000 0.000
Co 0.296 0.296 0.296
Co 0.797 0.797 0.797
Ge 0.494 0.494 0.494
O 0.093 0.679 0.415
O 0.202 0.579 0.889
O 0.415 0.093 0.679
O 0.579 0.889 0.202
O 0.679 0.415 0.093
O 0.889 0.202 0.579

Top 12 peaks for 5 to 70 degrees two-theta, low angle first:
- 19.94 deg, intensity 14
- 21.87 deg, intensity 31
- 24.77 deg, intensity 62
- 34.10 deg, intensity 100
- 36.48 deg, intensity 92
- 40.53 deg, intensity 6
- 41.92 deg, intensity 33
- 50.79 deg, intensity 42
- 55.66 deg, intensity 81
- 58.93 deg, intensity 6
- 64.14 deg, intensity 36
- 65.66 deg, intensity 42